1.
Starting from a DFT-relaxed cell (GGA-PBE, Alexandria), the powder diffraction line list of Na4NpO4 was computed for Cu Kα, 1.54184 Å.

Main lines, sorted by position (2θ = 10–90°):
d [Å]  intensity
7.045  100
5.661  68
4.860  28
3.270  38
2.780  42
2.463  44

```
data_Na4NpO4
_cell_length_a 11.5088
_cell_length_b 3.4759
_cell_length_c 8.3414
_cell_angle_alpha 90.00
_cell_angle_beta 122.38
_cell_angle_gamma 90.00
_symmetry_space_group_name_H-M 'C 1 2/m 1'
_symmetry_Int_Tables_number 12
loop_
_symmetry_equiv_pos_as_xyz
'x,y,z'
'-x,-y,-z'
'-x,y,-z'
'x,-y,z'
'x+1/2,y+1/2,z'
'-x+1/2,-y+1/2,-z'
'-x+1/2,y+1/2,-z'
'x+1/2,-y+1/2,z'
loop_
_atom_site_label
_atom_site_type_symbol
_atom_site_fract_x
_atom_site_fract_y
_atom_site_fract_z
Na1 Na 0.1218 0.0000 0.4043
Na2 Na 0.1990 0.5000 0.8080
Np1 Np 0.0000 0.5000 0.0000
O1 O 0.0792 0.0000 0.9082
O2 O 0.1827 0.5000 0.2660
```

2.
Starting from a DFT-relaxed cell (GGA-PBE, Alexandria), the powder diffraction line list of Na2NpO3 was computed for Cu Kα, 1.54184 Å.

Main lines, sorted by position (2θ = 10–90°):
d [Å]  intensity
5.583  100
4.928  36
2.931  37
2.808  65
2.440  29
2.423  58

```
data_Na2NpO3
_cell_length_a 5.9712
_cell_length_b 10.3098
_cell_length_c 5.9419
_cell_angle_alpha 90.00
_cell_angle_beta 110.01
_cell_angle_gamma 90.00
_symmetry_space_group_name_H-M 'C 1 2/m 1'
_symmetry_Int_Tables_number 12
loop_
_symmetry_equiv_pos_as_xyz
'x,y,z'
'-x,-y,-z'
'-x,y,-z'
'x,-y,z'
'x+1/2,y+1/2,z'
'-x+1/2,-y+1/2,-z'
'-x+1/2,y+1/2,-z'
'x+1/2,-y+1/2,z'
loop_
_atom_site_label
_atom_site_type_symbol
_atom_site_fract_x
_atom_site_fract_y
_atom_site_fract_z
Na1 Na 0.0000 0.0000 0.0000
Na2 Na 0.0000 0.1585 0.5000
Na3 Na 0.0000 0.5000 0.5000
Np1 Np 0.0000 0.3330 0.0000
O1 O 0.2100 0.5000 0.2209
O2 O 0.2442 0.3175 0.7850
```

3.
Starting from a DFT-relaxed cell (GGA-PBE, Alexandria), the powder diffraction line list of Na2Np3O10 was computed for Cu Kα, 1.54184 Å.

Main lines, sorted by position (2θ = 10–90°):
d [Å]  intensity
7.734  51
6.277  100
3.867  100
3.366  54
3.253  53
3.059  46

```
data_Na2Np3O10
_cell_length_a 19.5185
_cell_length_b 6.7003
_cell_length_c 8.4160
_cell_angle_alpha 90.00
_cell_angle_beta 113.23
_cell_angle_gamma 90.00
_symmetry_space_group_name_H-M 'C 1 2/m 1'
_symmetry_Int_Tables_number 12
loop_
_symmetry_equiv_pos_as_xyz
'x,y,z'
'-x,-y,-z'
'-x,y,-z'
'x,-y,z'
'x+1/2,y+1/2,z'
'-x+1/2,-y+1/2,-z'
'-x+1/2,y+1/2,-z'
'x+1/2,-y+1/2,z'
loop_
_atom_site_label
_atom_site_type_symbol
_atom_site_fract_x
_atom_site_fract_y
_atom_site_fract_z
Na1 Na 0.1273 0.0000 0.1427
Na2 Na 0.1624 0.0000 0.7909
Np1 Np 0.0000 0.2481 0.5000
Np2 Np 0.0813 0.5000 0.9764
Np3 Np 0.1865 0.5000 0.5186
O1 O 0.0000 0.3073 0.0000
O2 O 0.0190 0.5000 0.6759
O3 O 0.0206 0.0000 0.6659
O4 O 0.1073 0.2550 0.5432
O5 O 0.1343 0.5000 0.2729
O6 O 0.1398 0.2766 0.9697
O7 O 0.2381 0.5000 0.7542
O8 O 0.2500 0.2500 0.5000
```

Repeat the second record exactly.
Starting from a DFT-relaxed cell (GGA-PBE, Alexandria), the powder diffraction line list of Na2NpO3 was computed for Cu Kα, 1.54184 Å.

Main lines, sorted by position (2θ = 10–90°):
d [Å]  intensity
5.583  100
4.928  36
2.931  37
2.808  65
2.440  29
2.423  58

```
data_Na2NpO3
_cell_length_a 5.9712
_cell_length_b 10.3098
_cell_length_c 5.9419
_cell_angle_alpha 90.00
_cell_angle_beta 110.01
_cell_angle_gamma 90.00
_symmetry_space_group_name_H-M 'C 1 2/m 1'
_symmetry_Int_Tables_number 12
loop_
_symmetry_equiv_pos_as_xyz
'x,y,z'
'-x,-y,-z'
'-x,y,-z'
'x,-y,z'
'x+1/2,y+1/2,z'
'-x+1/2,-y+1/2,-z'
'-x+1/2,y+1/2,-z'
'x+1/2,-y+1/2,z'
loop_
_atom_site_label
_atom_site_type_symbol
_atom_site_fract_x
_atom_site_fract_y
_atom_site_fract_z
Na1 Na 0.0000 0.0000 0.0000
Na2 Na 0.0000 0.1585 0.5000
Na3 Na 0.0000 0.5000 0.5000
Np1 Np 0.0000 0.3330 0.0000
O1 O 0.2100 0.5000 0.2209
O2 O 0.2442 0.3175 0.7850
```